(1)
Starting from a crystal structure in Alexandria, relaxed with GGA-PBE, the X-ray powder pattern of La2Pm5Sm4 was simulated for Cu Kα X-rays.
Lines closer than 0.1° are merged.

Top 10 peaks for 15 to 90 degrees two-theta, sorted by position:
two_theta, d_spacing, I_rel
28.92, 3.087, 71
29.27, 3.051, 100
29.61, 3.017, 40
30.90, 2.894, 67
31.68, 2.824, 80
32.19, 2.780, 94
38.25, 2.353, 41
44.83, 2.022, 26
56.74, 1.622, 34
57.70, 1.598, 26

Structure:
```
La2Pm5Sm4
1.0
5.650 -3.764 0.000
5.650 3.764 0.000
-2.830 0.000 9.052
La Pm Sm
2 5 4
direct
0.142 0.142 0.128
0.858 0.858 0.872
0.000 0.000 0.500
0.218 0.648 0.235
0.352 0.782 0.765
0.648 0.218 0.235
0.782 0.352 0.765
0.308 0.308 0.505
0.329 0.329 0.880
0.671 0.671 0.120
0.692 0.692 0.495
```



(2)
Starting from a crystal structure in Alexandria, relaxed with GGA-PBE, the X-ray powder pattern of LaPm3Sm was simulated for Cu Kα X-rays.
Lines closer than 0.1° are merged.

Top 10 peaks for 15 to 90 degrees two-theta, sorted by position:
two_theta, d_spacing, I_rel
27.83, 3.206, 23
30.13, 2.966, 25
31.72, 2.821, 100
41.47, 2.177, 16
49.22, 1.851, 20
54.52, 1.683, 22
58.80, 1.570, 23
59.75, 1.548, 16
76.52, 1.245, 7
80.95, 1.188, 9

Structure:
```
LaPm3Sm
1.0
11.298 -1.850 0.000
11.298 1.850 0.000
-2.353 0.000 8.422
La Pm Sm
2 6 2
direct
0.084 0.084 0.084
0.916 0.916 0.916
0.117 0.117 0.518
0.316 0.316 0.117
0.483 0.483 0.288
0.517 0.517 0.712
0.684 0.684 0.883
0.883 0.883 0.482
0.282 0.282 0.680
0.718 0.718 0.320
```



(3)
Starting from a crystal structure in Alexandria, relaxed with GGA-PBE, the X-ray powder pattern of La2Pm2Sm5 was simulated for Cu Kα X-rays.
Lines closer than 0.1° are merged.

Top 10 peaks for 15 to 90 degrees two-theta, sorted by position:
two_theta, d_spacing, I_rel
28.99, 3.080, 39
30.43, 2.938, 53
30.80, 2.903, 100
31.76, 2.818, 45
32.07, 2.791, 54
40.78, 2.213, 14
47.25, 1.924, 21
59.95, 1.543, 15
60.15, 1.538, 15
60.74, 1.525, 14

Structure:
```
La2Pm2Sm5
1.0
3.626 0.000 0.000
0.002 8.962 0.000
0.002 2.305 9.669
La Pm Sm
2 2 5
direct
0.001 0.022 0.319
0.999 0.978 0.681
0.499 0.662 0.887
0.501 0.338 0.113
0.000 0.349 0.783
0.000 0.651 0.217
0.499 0.321 0.463
0.500 0.000 0.000
0.501 0.679 0.537
```



(4)
Starting from a crystal structure in Alexandria, relaxed with GGA-PBE, the X-ray powder pattern of La5PmSm3 was simulated for Cu Kα X-rays.
Lines closer than 0.1° are merged.

Top 10 peaks for 15 to 90 degrees two-theta, sorted by position:
two_theta, d_spacing, I_rel
27.81, 3.208, 68
28.20, 3.164, 48
29.87, 2.992, 100
31.62, 2.830, 19
35.80, 2.508, 15
36.63, 2.453, 19
41.96, 2.153, 25
45.07, 2.012, 27
50.97, 1.792, 17
54.02, 1.698, 17

Structure:
```
La5PmSm3
1.0
-4.475 4.475 8.046
4.475 -4.475 8.046
4.475 4.475 -8.046
La Pm Sm
10 2 6
direct
0.000 0.000 0.000
0.061 0.561 0.901
0.161 0.061 0.500
0.339 0.839 0.901
0.439 0.339 0.500
0.500 0.500 0.000
0.561 0.661 0.500
0.661 0.161 0.099
0.839 0.939 0.500
0.939 0.439 0.099
0.250 0.750 0.500
0.750 0.250 0.500
0.119 0.381 0.500
0.250 0.250 0.000
0.381 0.881 0.263
0.619 0.119 0.737
0.750 0.750 0.000
0.881 0.619 0.500
```



(5)
Starting from a crystal structure in Alexandria, relaxed with GGA-PBE, the X-ray powder pattern of La2Pm2Sm15 was simulated for Cu Kα X-rays.
Lines closer than 0.1° are merged.

Top 10 peaks for 15 to 90 degrees two-theta, sorted by position:
two_theta, d_spacing, I_rel
26.83, 3.323, 29
27.03, 3.298, 28
29.89, 2.990, 27
30.79, 2.904, 57
30.96, 2.888, 100
31.32, 2.856, 56
33.84, 2.649, 20
34.81, 2.577, 68
55.41, 1.658, 18
55.74, 1.649, 25

Structure:
```
La2Pm2Sm15
1.0
5.713 3.298 5.979
-5.713 3.298 5.979
0.000 -6.597 5.979
La Pm Sm
2 2 15
direct
0.174 0.174 0.174
0.826 0.826 0.826
0.408 0.408 0.408
0.592 0.592 0.592
0.000 0.500 0.500
0.129 0.129 0.652
0.129 0.652 0.129
0.203 0.500 0.797
0.203 0.797 0.500
0.348 0.871 0.871
0.500 0.000 0.500
0.500 0.203 0.797
0.500 0.500 0.000
0.500 0.797 0.203
0.652 0.129 0.129
0.797 0.203 0.500
0.797 0.500 0.203
0.871 0.348 0.871
0.871 0.871 0.348
```



(6)
Starting from a crystal structure in Alexandria, relaxed with GGA-PBE, the X-ray powder pattern of La5Pm3Sm was simulated for Cu Kα X-rays.
Lines closer than 0.1° are merged.

Top 10 peaks for 15 to 90 degrees two-theta, sorted by position:
two_theta, d_spacing, I_rel
25.95, 3.434, 28
28.18, 3.167, 71
28.81, 3.099, 98
29.33, 3.045, 38
29.64, 3.014, 62
30.64, 2.918, 100
32.39, 2.764, 41
33.11, 2.705, 69
34.21, 2.621, 30
34.65, 2.589, 37

Structure:
```
La5Pm3Sm
1.0
10.375 -3.210 0.000
10.375 3.210 0.000
-6.340 0.000 9.965
La Pm Sm
10 6 2
direct
0.045 0.672 0.341
0.082 0.918 0.750
0.128 0.515 0.663
0.328 0.955 0.159
0.485 0.872 0.837
0.515 0.128 0.163
0.672 0.045 0.841
0.872 0.485 0.337
0.918 0.082 0.250
0.955 0.328 0.659
0.086 0.563 0.977
0.437 0.914 0.523
0.500 0.500 0.000
0.500 0.500 0.500
0.563 0.086 0.477
0.914 0.437 0.023
0.397 0.603 0.250
0.603 0.397 0.750
```



(7)
Starting from a crystal structure in Alexandria, relaxed with GGA-PBE, the X-ray powder pattern of La4Pm7Sm was simulated for Cu Kα X-rays.
Lines closer than 0.1° are merged.

Top 10 peaks for 15 to 90 degrees two-theta, sorted by position:
two_theta, d_spacing, I_rel
28.05, 3.181, 37
29.91, 2.988, 73
30.86, 2.897, 100
30.94, 2.890, 48
32.48, 2.757, 82
32.56, 2.750, 40
49.13, 1.854, 37
52.68, 1.737, 23
55.79, 1.648, 24
58.59, 1.575, 43

Structure:
```
La4Pm7Sm
1.0
6.432 0.000 0.000
0.003 7.389 0.000
2.147 0.014 8.963
La Pm Sm
4 7 1
direct
0.219 0.248 0.332
0.279 0.501 0.669
0.721 0.499 0.331
0.781 0.752 0.668
0.001 0.752 0.001
0.222 0.752 0.328
0.281 0.000 0.671
0.500 0.500 0.000
0.719 0.000 0.329
0.778 0.248 0.672
0.999 0.248 0.999
0.500 0.000 0.000
```



(8)
Starting from a crystal structure in Alexandria, relaxed with GGA-PBE, the X-ray powder pattern of La5PmSm2 was simulated for Cu Kα X-rays.
Lines closer than 0.1° are merged.

Top 10 peaks for 15 to 90 degrees two-theta, sorted by position:
two_theta, d_spacing, I_rel
28.92, 3.087, 9
29.15, 3.064, 100
31.32, 2.856, 56
38.28, 2.351, 10
40.85, 2.209, 12
45.70, 1.985, 10
50.27, 1.815, 11
56.51, 1.628, 9
58.45, 1.579, 31
63.69, 1.461, 11

Structure:
```
La5PmSm2
1.0
-4.515 4.515 7.053
4.515 -4.515 7.053
4.515 4.515 -7.053
La Pm Sm
10 2 4
direct
0.000 0.000 0.000
0.015 0.515 0.201
0.185 0.985 0.500
0.315 0.815 0.799
0.485 0.685 0.500
0.500 0.500 0.000
0.515 0.315 0.500
0.685 0.185 0.201
0.815 0.015 0.500
0.985 0.485 0.799
0.250 0.250 0.000
0.750 0.750 0.000
0.146 0.354 0.500
0.354 0.854 0.208
0.646 0.146 0.792
0.854 0.646 0.500
```



(9)
Starting from a crystal structure in Alexandria, relaxed with GGA-PBE, the X-ray powder pattern of La2Pm3Sm7 was simulated for Cu Kα X-rays.
Lines closer than 0.1° are merged.

Top 10 peaks for 15 to 90 degrees two-theta, sorted by position:
two_theta, d_spacing, I_rel
29.12, 3.066, 29
30.06, 2.973, 100
30.67, 2.915, 55
32.99, 2.715, 37
34.03, 2.634, 43
37.12, 2.422, 14
49.13, 1.854, 20
50.77, 1.798, 14
51.48, 1.775, 23
60.14, 1.539, 28

Structure:
```
La2Pm3Sm7
1.0
6.493 0.000 0.000
0.000 3.597 0.000
-1.950 0.000 17.829
La Pm Sm
2 3 7
direct
0.058 0.000 0.171
0.942 0.000 0.829
0.453 0.500 0.840
0.500 0.000 0.500
0.547 0.500 0.160
0.000 0.500 0.500
0.227 0.000 0.666
0.257 0.000 0.999
0.275 0.500 0.336
0.725 0.500 0.664
0.743 0.000 0.001
0.773 0.000 0.334
```



(10)
Starting from a crystal structure in Alexandria, relaxed with GGA-PBE, the X-ray powder pattern of La3Pm3Sm5 was simulated for Cu Kα X-rays.
Lines closer than 0.1° are merged.

Top 10 peaks for 15 to 90 degrees two-theta, sorted by position:
two_theta, d_spacing, I_rel
23.77, 3.743, 38
27.01, 3.301, 100
30.02, 2.976, 98
31.32, 2.856, 57
32.60, 2.747, 93
35.18, 2.551, 74
40.82, 2.211, 88
47.77, 1.904, 52
55.71, 1.650, 36
62.23, 1.492, 43

Structure:
```
La3Pm3Sm5
1.0
11.435 0.000 0.000
-5.718 9.903 0.000
0.000 0.000 3.486
La Pm Sm
3 3 5
direct
0.000 0.398 0.000
0.398 0.000 0.000
0.602 0.602 0.000
0.000 0.160 0.500
0.160 0.000 0.500
0.840 0.840 0.500
0.000 0.661 0.500
0.333 0.667 0.500
0.339 0.339 0.500
0.661 0.000 0.500
0.667 0.333 0.500
```



(11)
Starting from a crystal structure in Alexandria, relaxed with GGA-PBE, the X-ray powder pattern of La5PmSm5 was simulated for Cu Kα X-rays.
Lines closer than 0.1° are merged.

Top 10 peaks for 15 to 90 degrees two-theta, sorted by position:
two_theta, d_spacing, I_rel
29.70, 3.008, 100
34.43, 2.605, 51
49.48, 1.842, 36
58.76, 1.571, 33
58.83, 1.570, 11
61.70, 1.503, 9
80.25, 1.196, 7
80.38, 1.195, 10
82.81, 1.166, 8
82.92, 1.164, 8

Structure:
```
La5PmSm5
1.0
6.374 0.000 0.000
-2.127 7.957 0.000
-1.065 -2.834 7.668
La Pm Sm
5 1 5
direct
0.000 0.000 0.000
0.090 0.363 0.819
0.454 0.818 0.092
0.817 0.272 0.365
0.908 0.635 0.184
0.725 0.907 0.546
0.182 0.728 0.638
0.271 0.090 0.459
0.362 0.454 0.277
0.545 0.181 0.907
0.636 0.545 0.724
```



(12)
Starting from a crystal structure in Alexandria, relaxed with GGA-PBE, the X-ray powder pattern of La3PmSm7 was simulated for Cu Kα X-rays.
Lines closer than 0.1° are merged.

Top 10 peaks for 15 to 90 degrees two-theta, sorted by position:
two_theta, d_spacing, I_rel
24.58, 3.622, 19
27.72, 3.218, 14
29.85, 2.994, 40
31.24, 2.863, 33
31.90, 2.806, 100
39.04, 2.307, 11
43.75, 2.069, 26
54.28, 1.690, 22
60.84, 1.522, 10
60.94, 1.520, 10

Structure:
```
La3PmSm7
1.0
6.462 -5.720 0.000
6.462 5.720 0.000
-2.767 0.000 5.310
La Pm Sm
3 1 7
direct
0.000 0.000 0.000
0.212 0.788 0.500
0.788 0.212 0.500
0.500 0.500 0.000
0.003 0.403 0.204
0.207 0.207 0.707
0.403 0.003 0.204
0.500 0.500 0.500
0.597 0.997 0.796
0.793 0.793 0.293
0.997 0.597 0.796
```



(13)
Starting from a crystal structure in Alexandria, relaxed with GGA-PBE, the X-ray powder pattern of La2Pm7Sm2 was simulated for Cu Kα X-rays.
Lines closer than 0.1° are merged.

Top 10 peaks for 15 to 90 degrees two-theta, sorted by position:
two_theta, d_spacing, I_rel
25.40, 3.507, 31
29.14, 3.065, 41
29.30, 3.048, 72
30.72, 2.910, 54
32.26, 2.775, 63
32.44, 2.760, 100
33.57, 2.669, 31
39.15, 2.301, 25
55.72, 1.650, 34
60.95, 1.520, 26

Structure:
```
La2Pm7Sm2
1.0
-1.824 9.195 5.821
1.824 -9.195 5.821
1.824 9.195 -5.821
La Pm Sm
2 7 2
direct
0.206 0.000 0.206
0.794 0.000 0.794
0.077 0.737 0.340
0.374 0.499 0.875
0.398 0.737 0.660
0.585 0.255 0.330
0.624 0.499 0.125
0.925 0.255 0.670
0.961 0.961 0.000
0.278 0.278 0.000
0.671 0.171 0.500
```